SiO2: simulated X-ray powder pattern (Cu Kα, 1.54184 Å), based on a cell relaxed with GGA-PBE.

Cell and atoms:
a b c (Å): 12.381 12.381 12.381
angles (deg): 139.97 80.73 113.29
Fractional coordinates of all 60 atoms:
Si1 0.047 0.259 0.415
Si2 0.047 0.632 0.788
Si3 0.113 0.053 0.440
Si4 0.113 0.672 0.060
Si5 0.181 0.328 0.226
Si6 0.181 0.955 0.853
Si7 0.344 0.259 0.712
Si8 0.344 0.632 0.085
Si9 0.398 0.045 0.726
Si10 0.398 0.672 0.353
Si11 0.602 0.328 0.647
Si12 0.602 0.955 0.274
Si13 0.656 0.368 0.915
Si14 0.656 0.741 0.288
Si15 0.819 0.045 0.147
Si16 0.819 0.672 0.774
Si17 0.887 0.328 0.940
Si18 0.887 0.947 0.560
Si19 0.953 0.368 0.212
Si20 0.953 0.741 0.585
O1 0.000 0.000 0.500
O2 0.000 0.500 0.000
O3 0.013 0.421 0.593
O4 0.076 0.335 0.170
O5 0.076 0.907 0.741
O6 0.100 0.175 0.437
O7 0.100 0.663 0.925
O8 0.115 0.865 0.250
O9 0.148 0.345 0.370
O10 0.148 0.778 0.803
O11 0.191 0.133 0.058
O12 0.239 0.175 0.575
O13 0.239 0.663 0.063
O14 0.311 0.000 0.811
O15 0.311 0.500 0.311
O16 0.328 0.421 0.907
O17 0.334 0.093 0.670
O18 0.334 0.665 0.241
O19 0.425 0.867 0.558
O20 0.475 0.345 0.697
O21 0.475 0.778 0.130
O22 0.525 0.222 0.870
O23 0.525 0.655 0.303
O24 0.575 0.133 0.442
O25 0.666 0.335 0.759
O26 0.666 0.907 0.330
O27 0.672 0.579 0.093
O28 0.689 0.000 0.189
O29 0.689 0.500 0.689
O30 0.761 0.337 0.937
O31 0.761 0.825 0.425
O32 0.809 0.867 0.942
O33 0.852 0.222 0.197
O34 0.852 0.655 0.630
O35 0.885 0.135 0.750
O36 0.900 0.337 0.075
O37 0.900 0.825 0.563
O38 0.924 0.093 0.259
O39 0.924 0.665 0.830
O40 0.987 0.579 0.407

Main lines, by angle (15° ≤ 2θ ≤ 90°):
d/Å  two_theta  Rel. int.
5.709  15.52  58.8
4.412  20.12  31.9
4.238  20.96  100.0
4.056  21.91  46.6
4.001  22.22  25.9
3.947  22.53  38.7
3.875  22.95  38.4
3.403  26.18  36.0
3.145  28.38  23.4
2.860  31.28  11.6
2.399  37.49  12.3
2.386  37.70  13.9